Starting from a crystal structure in Alexandria, relaxed with PBE+U, the powder XRD pattern of MgCr2O7 was calculated for copper Kα.
Lines closer than 0.1° are merged.

The 6 most intense peaks (15° ≤ 2θ ≤ 90°), low angle first:
- d 4.567, intensity 31, hkl 1 1 0
- d 4.284, intensity 100, hkl 1 1 -1
- d 3.555, intensity 30, hkl 0 0 2
- d 3.514, intensity 28, hkl 1 1 1
- d 3.281, intensity 42, hkl 0 2 0
- d 3.126, intensity 32, hkl 0 1 2

a b c (Å): 6.6646 6.5624 7.4523
angles (deg): 90.00 107.43 90.00
Fractional positions:
Mg  0.0239  0.0000  0.1135
Mg  0.9761  0.5000  0.8865
Cr  0.0843  0.5162  0.3241
Cr  0.4281  0.5835  0.7415
Cr  0.5719  0.0835  0.2585
Cr  0.9157  0.0162  0.6759
O  0.0386  0.6747  0.1352
O  0.0723  0.2843  0.2390
O  0.0910  0.0469  0.5720
O  0.2563  0.4793  0.8337
O  0.3293  0.5619  0.4880
O  0.3412  0.9690  0.1829
O  0.4545  0.8200  0.7919
O  0.5455  0.3200  0.2081
O  0.6588  0.4690  0.8171
O  0.6707  0.0619  0.5120
O  0.7437  0.9793  0.1663
O  0.9090  0.5469  0.4280
O  0.9277  0.7843  0.7610
O  0.9614  0.1747  0.8648